MgNi4S8: calculated powder XRD pattern (Cu Ka), based on a crystal structure in the Materials Project, relaxed with GGA-PBE.
Neutral-atom scattering factors, no anomalous dispersion.

The 10 most intense peaks (2θ from 5° to 70°), low angle first:
15.05°, intensity 100.0
15.97°, intensity 3.3
31.02°, intensity 22.3
36.89°, intensity 87.5
47.62°, intensity 22.8
51.91°, intensity 24.2
54.38°, intensity 27.7
56.76°, intensity 15.7
66.45°, intensity 10.5
67.53°, intensity 12.9

Crystal structure
```
data_MgNi4S8
_chemical_formula_sum 'Mg3 Ni12 S24'
_cell_length_a 6.7488
_cell_length_b 6.7488
_cell_length_c 17.6588
_cell_angle_alpha 90.00
_cell_angle_beta 90.00
_cell_angle_gamma 120.00
_symmetry_space_group_name_H-M 'R -3 m'
_symmetry_Int_Tables_number 166
_symmetry_space_group_name_Hall '-R 3 2"'
loop_
_atom_site_label
_atom_site_fract_x
_atom_site_fract_y
_atom_site_fract_z
Mg1 0.0000 0.0000 0.0000
Ni1 0.0000 0.0000 0.5000
Ni2 0.0000 0.5000 0.5000
S1 0.0000 0.0000 0.2332
S2 0.0091 0.5046 0.7651
```